[1]
Structure and simulated powder diffractogram of YTiNbO6 (a structure optimized by DFT (PBE); CuKα).
No peak broadening, texture or thermal motion is included.

Atomic structure:
```
data_YTiNbO6
_cell_length_a 5.2364
_cell_length_b 14.8009
_cell_length_c 5.6535
_cell_angle_alpha 90.00
_cell_angle_beta 90.67
_cell_angle_gamma 90.00
_symmetry_space_group_name_H-M 'P 1 21/c 1'
_symmetry_Int_Tables_number 14
loop_
_symmetry_equiv_pos_as_xyz
'x,y,z'
'-x,-y,-z'
'-x,y+1/2,-z+1/2'
'x,-y+1/2,z+1/2'
loop_
_atom_site_label
_atom_site_type_symbol
_atom_site_fract_x
_atom_site_fract_y
_atom_site_fract_z
Y1 Y 0.2446 0.9998 0.2373
Ti1 Ti 0.1861 0.1631 0.6898
Nb1 Nb 0.3204 0.6696 0.1838
O1 O 0.0338 0.5923 0.0563
O2 O 0.0847 0.0860 0.9115
O3 O 0.1398 0.7400 0.8602
O4 O 0.3601 0.2431 0.3618
O5 O 0.4168 0.5847 0.4093
O6 O 0.4647 0.0926 0.5674
```

Peak list (8 most intense, 2θ from 15° to 90°, sorted by position)
2θ (°)	d (Å)	I_rel	(hkl)
23.94	3.717	19	0 3 1
29.36	3.042	85	1 3 -1
29.58	3.020	100	1 3 1
31.65	2.827	21	0 0 2
34.25	2.618	15	2 0 0
49.01	1.859	25	0 6 2
50.86	1.795	21	2 6 0
61.38	1.510	19	1 9 1



[2]
Structure and simulated powder diffractogram of Y4Ti2Nb2O15 (a structure optimized by DFT (PBE); CuKα).
No peak broadening, texture or thermal motion is included.

Atomic structure:
```
data_Y4Ti2Nb2O15
_cell_length_a 7.1995
_cell_length_b 7.3746
_cell_length_c 10.3562
_cell_angle_alpha 90.00
_cell_angle_beta 90.00
_cell_angle_gamma 90.00
_symmetry_space_group_name_H-M 'I m m 2'
_symmetry_Int_Tables_number 44
loop_
_symmetry_equiv_pos_as_xyz
'x,y,z'
'-x,-y,z'
'-x,y,z'
'x,-y,z'
'x+1/2,y+1/2,z+1/2'
'-x+1/2,-y+1/2,z+1/2'
'-x+1/2,y+1/2,z+1/2'
'x+1/2,-y+1/2,z+1/2'
loop_
_atom_site_label
_atom_site_type_symbol
_atom_site_fract_x
_atom_site_fract_y
_atom_site_fract_z
Y1 Y 0.0000 0.2432 0.0000
Y2 Y 0.2485 0.0000 0.2451
Ti1 Ti 0.2347 0.0000 0.7365
Nb1 Nb 0.0000 0.2379 0.5008
O1 O 0.0000 0.0000 0.1190
O2 O 0.0000 0.0000 0.3838
O3 O 0.0000 0.0000 0.6110
O4 O 0.0000 0.0000 0.8449
O5 O 0.0000 0.5000 0.1835
O6 O 0.0000 0.5000 0.5787
O7 O 0.0000 0.5000 0.8776
O8 O 0.2040 0.3016 0.3842
O9 O 0.2308 0.2291 0.6354
```

Peak list (8 most intense, 2θ from 15° to 90°, sorted by position)
2θ (°)	d (Å)	I_rel	(hkl)
29.74	3.004	100	0 2 2
30.24	2.956	96	2 0 2
34.83	2.576	27	2 2 0
49.44	1.844	18	0 4 0
49.94	1.826	70	2 2 4
50.72	1.800	17	4 0 0
59.07	1.564	40	0 2 6
59.91	1.544	25	4 2 2



[3]
Structure and simulated powder diffractogram of TiNb2ZnO8 (a structure optimized by DFT (PBE); CuKα).
No peak broadening, texture or thermal motion is included.

Atomic structure:
```
data_TiNb2ZnO8
_cell_length_a 4.7562
_cell_length_b 5.7991
_cell_length_c 5.0211
_cell_angle_alpha 90.00
_cell_angle_beta 91.60
_cell_angle_gamma 90.00
_symmetry_space_group_name_H-M 'P 1 2 1'
_symmetry_Int_Tables_number 3
loop_
_symmetry_equiv_pos_as_xyz
'x,y,z'
'-x,y,-z'
loop_
_atom_site_label
_atom_site_type_symbol
_atom_site_fract_x
_atom_site_fract_y
_atom_site_fract_z
Ti1 Ti 0.0000 0.0000 0.0000
Nb1 Nb 0.0000 0.6374 0.5000
Nb2 Nb 0.5000 0.1439 0.5000
Zn1 Zn 0.5000 0.5303 0.0000
O1 O 0.2076 0.7301 0.1846
O2 O 0.2372 0.9497 0.6808
O3 O 0.2555 0.2021 0.1793
O4 O 0.2751 0.4403 0.6596
```

Peak list (8 most intense, 2θ from 15° to 90°, sorted by position)
2θ (°)	d (Å)	I_rel	(hkl)
24.21	3.677	46	1 1 0
29.81	2.997	100	1 1 -1
30.45	2.936	93	1 1 1
30.84	2.900	25	0 2 0
35.77	2.510	40	0 0 2
51.00	1.791	22	1 3 0
52.26	1.750	18	2 0 -2
64.19	1.451	23	3 1 1



[4]
Structure and simulated powder diffractogram of NbTl3O6 (a structure optimized by DFT (PBE); CuKα).
No peak broadening, texture or thermal motion is included.

Atomic structure:
```
data_NbTl3O6
_cell_length_a 9.7447
_cell_length_b 11.4433
_cell_length_c 6.0596
_cell_angle_alpha 90.00
_cell_angle_beta 90.00
_cell_angle_gamma 90.00
_symmetry_space_group_name_H-M 'C m c 21'
_symmetry_Int_Tables_number 36
loop_
_symmetry_equiv_pos_as_xyz
'x,y,z'
'-x,-y,z+1/2'
'-x,y,z'
'x,-y,z+1/2'
'x+1/2,y+1/2,z'
'-x+1/2,-y+1/2,z+1/2'
'-x+1/2,y+1/2,z'
'x+1/2,-y+1/2,z+1/2'
loop_
_atom_site_label
_atom_site_type_symbol
_atom_site_fract_x
_atom_site_fract_y
_atom_site_fract_z
Nb1 Nb 0.0000 0.1629 0.0000
Tl1 Tl 0.0000 0.4213 0.5558
Tl2 Tl 0.2167 0.1147 0.5133
O1 O 0.0000 0.0001 0.4622
O2 O 0.0000 0.2367 0.7154
O3 O 0.1540 0.4862 0.2932
O4 O 0.1564 0.2101 0.1567
```

Peak list (8 most intense, 2θ from 15° to 90°, sorted by position)
2θ (°)	d (Å)	I_rel	(hkl)
28.21	3.164	100	2 2 1
29.14	3.064	17	1 3 1
29.48	3.030	25	0 0 2
36.90	2.436	10	4 0 0
41.51	2.175	10	3 1 2
43.51	2.080	13	0 4 2
47.91	1.899	10	4 0 2
51.52	1.774	18	2 2 3



[5]
Structure and simulated powder diffractogram of NbTlO3 (a structure optimized by DFT (PBE); CuKα).
No peak broadening, texture or thermal motion is included.

Atomic structure:
```
data_NbTlO3
_cell_length_a 15.0454
_cell_length_b 3.1530
_cell_length_c 7.7523
_cell_angle_alpha 90.00
_cell_angle_beta 103.24
_cell_angle_gamma 90.00
_symmetry_space_group_name_H-M 'C 1 2/m 1'
_symmetry_Int_Tables_number 12
loop_
_symmetry_equiv_pos_as_xyz
'x,y,z'
'-x,-y,-z'
'-x,y,-z'
'x,-y,z'
'x+1/2,y+1/2,z'
'-x+1/2,-y+1/2,-z'
'-x+1/2,y+1/2,-z'
'x+1/2,-y+1/2,z'
loop_
_atom_site_label
_atom_site_type_symbol
_atom_site_fract_x
_atom_site_fract_y
_atom_site_fract_z
Nb1 Nb 0.1632 0.0000 0.3450
Tl1 Tl 0.1247 0.5000 0.8642
O1 O 0.0783 0.5000 0.2733
O2 O 0.1958 0.5000 0.5412
O3 O 0.2013 0.0000 0.1360
```

Peak list (8 most intense, 2θ from 15° to 90°, sorted by position)
2θ (°)	d (Å)	I_rel	(hkl)
23.93	3.719	87	2 0 -2
24.31	3.661	74	4 0 0
28.99	3.080	69	2 0 2
31.89	2.807	100	1 1 1
34.47	2.602	42	3 1 -1
39.07	2.306	35	6 0 -2
45.43	1.996	42	1 1 -3
45.86	1.979	34	5 1 1



[6]
Structure and simulated powder diffractogram of Nb3TlO8 (a structure optimized by DFT (PBE); CuKα).
No peak broadening, texture or thermal motion is included.

Atomic structure:
```
data_Nb3TlO8
_cell_length_a 5.9434
_cell_length_b 5.9434
_cell_length_c 7.6115
_cell_angle_alpha 90.00
_cell_angle_beta 90.00
_cell_angle_gamma 120.00
_symmetry_space_group_name_H-M 'P -3 m 1'
_symmetry_Int_Tables_number 164
_symmetry_space_group_name_Hall '-P 3 2"'
loop_
_atom_site_label
_atom_site_type_symbol
_atom_site_fract_x
_atom_site_fract_y
_atom_site_fract_z
Nb1 Nb 0.0000 0.0000 0.0000
Nb2 Nb 0.3333 0.6667 0.2343
Tl1 Tl 0.0000 0.0000 0.5000
O1 O 0.1572 0.3144 0.1550
O2 O 0.3333 0.6667 0.4683
```

Peak list (8 most intense, 2θ from 15° to 90°, sorted by position)
2θ (°)	d (Å)	I_rel	(hkl)
17.23	5.147	56	1 0 0
20.83	4.264	77	1 0 1
29.18	3.060	100	0 1 2
30.07	2.972	82	1 1 0
42.40	2.132	42	0 2 2
48.29	1.885	18	2 1 1
52.85	1.732	40	1 2 2
57.51	1.602	28	1 1 4



[7]
Structure and simulated powder diffractogram of Nb6TlO12 (a structure optimized by DFT (PBE); CuKα).
No peak broadening, texture or thermal motion is included.

Atomic structure:
```
data_Nb6TlO12
_cell_length_a 9.8883
_cell_length_b 9.8883
_cell_length_c 7.9329
_cell_angle_alpha 90.00
_cell_angle_beta 90.00
_cell_angle_gamma 120.00
_symmetry_space_group_name_H-M 'R -3 m'
_symmetry_Int_Tables_number 166
_symmetry_space_group_name_Hall '-R 3 2"'
loop_
_atom_site_label
_atom_site_type_symbol
_atom_site_fract_x
_atom_site_fract_y
_atom_site_fract_z
Nb1 Nb 0.0679 0.5339 0.3001
Tl1 Tl 0.0000 0.0000 0.0000
O1 O 0.0000 0.3665 0.5000
O2 O 0.0935 0.1869 0.3766
```

Peak list (8 most intense, 2θ from 15° to 90°, sorted by position)
2θ (°)	d (Å)	I_rel	(hkl)
24.74	3.599	20	0 1 2
29.81	2.997	100	2 1 1
33.90	2.644	19	0 0 3
35.81	2.508	49	1 2 2
36.34	2.472	22	2 2 0
50.54	1.806	19	2 2 3
54.84	1.674	20	0 5 1
58.72	1.572	18	5 0 2



[8]
Structure and simulated powder diffractogram of Nb8Tl8O25 (a structure optimized by DFT (PBE); CuKα).
No peak broadening, texture or thermal motion is included.

Atomic structure:
```
data_Nb8Tl8O25
_cell_length_a 13.2438
_cell_length_b 7.6275
_cell_length_c 13.3503
_cell_angle_alpha 90.00
_cell_angle_beta 109.12
_cell_angle_gamma 90.00
_symmetry_space_group_name_H-M 'C 1 m 1'
_symmetry_Int_Tables_number 8
loop_
_symmetry_equiv_pos_as_xyz
'x,y,z'
'x,-y,z'
'x+1/2,y+1/2,z'
'x+1/2,-y+1/2,z'
loop_
_atom_site_label
_atom_site_type_symbol
_atom_site_fract_x
_atom_site_fract_y
_atom_site_fract_z
Nb1 Nb 0.0000 0.0000 0.0000
Nb2 Nb 0.0004 0.2492 0.2560
Nb3 Nb 0.9995 0.2505 0.7542
Nb4 Nb 0.0002 0.5000 0.5022
Nb5 Nb 0.2456 0.5000 0.7554
Nb6 Nb 0.2469 0.0000 0.2570
Tl1 Tl 0.0007 0.0000 0.4993
Tl2 Tl 0.2429 0.5000 0.2354
Tl3 Tl 0.2488 0.2523 0.5003
Tl4 Tl 0.2523 0.0000 0.7606
Tl5 Tl 0.2518 0.2412 0.9988
Tl6 Tl 0.4885 0.0000 0.9958
O1 O 0.0372 0.0000 0.7374
O2 O 0.0367 0.5000 0.2391
O3 O 0.0376 0.1883 0.9226
O4 O 0.0388 0.3105 0.4243
O5 O 0.1609 0.0000 0.1125
O6 O 0.1611 0.3157 0.7942
O7 O 0.1625 0.5000 0.6081
O8 O 0.1636 0.1885 0.2986
O9 O 0.1848 0.0000 0.5566
O10 O 0.3498 0.0000 0.4242
O11 O 0.3501 0.5000 0.9221
O12 O 0.3524 0.3159 0.7364
O13 O 0.3531 0.1824 0.2388
O14 O 0.4760 0.1869 0.6089
O15 O 0.4763 0.5000 0.2999
O16 O 0.4773 0.3171 0.1131
O17 O 0.4781 0.0000 0.7945
```

Peak list (8 most intense, 2θ from 15° to 90°, sorted by position)
2θ (°)	d (Å)	I_rel	(hkl)
28.30	3.154	34	0 0 4
28.60	3.122	100	4 0 0
33.05	2.710	53	2 2 2
47.30	1.922	18	2 2 -6
47.63	1.909	27	0 4 0
55.96	1.643	10	2 2 6
56.40	1.631	25	8 0 -4
56.52	1.628	10	4 4 0